The following is a theoretical powder diffractogram of SiPbAu2. It was derived from a cell relaxed with GGA-PBE, using a wavelength of 1.5418 Å.
Neutral-atom scattering factors, no anomalous dispersion.

Cell and atoms:
```
SiPbAu2
1.0
10.4295 0.0000 0.0000
0.0000 6.2102 0.0000
-5.0376 0.0000 5.5628
Si Pb Au
4 4 8
Direct
0.0000 0.0975 0.0000
0.0000 0.9025 0.5000
0.5000 0.4025 0.5000
0.5000 0.5975 0.0000
0.1285 0.3513 0.7875
0.1285 0.6487 0.2875
0.6285 0.1487 0.2875
0.6285 0.8513 0.7875
0.3160 0.0771 0.3100
0.3160 0.9229 0.8100
0.3915 0.3199 0.7032
0.3915 0.6801 0.2032
0.8160 0.4229 0.8100
0.8160 0.5771 0.3100
0.8915 0.1801 0.2032
0.8915 0.8199 0.7032
```

Largest 10 diffraction maxima, in order of rising 2θ, 2θ = 5–70°:
2theta	I/Imax
29.10	35
30.34	74
30.78	68
32.18	51
33.04	100
37.63	17
37.80	30
38.88	54
45.39	25
61.12	17

***

The following is a theoretical powder diffractogram of TbSi2Pb2Au7. It was derived from a cell relaxed with GGA-PBE, using a wavelength of 1.5418 Å.
Neutral-atom scattering factors, no anomalous dispersion.

Cell and atoms:
```
TbSi2Pb2Au7
1.0
3.2025 -3.1572 0.0000
3.2025 3.1572 0.0000
-1.6705 0.0000 13.0401
Tb Si Pb Au
1 2 2 7
Direct
0.0000 0.0000 0.0000
0.4197 0.4197 0.7565
0.5803 0.5803 0.2435
0.0948 0.0948 0.3689
0.9052 0.9052 0.6311
0.0546 0.5420 0.1580
0.3579 0.3579 0.5715
0.4580 0.9454 0.8420
0.5000 0.5000 0.0000
0.5420 0.0546 0.1580
0.6421 0.6421 0.4285
0.9454 0.4580 0.8420
```

Largest 10 diffraction maxima, in order of rising 2θ, 2θ = 5–70°:
2theta	I/Imax
6.78	20
29.10	32
31.48	37
32.74	63
32.90	62
34.39	23
35.13	74
40.26	100
58.47	19
68.64	18

***

The following is a theoretical powder diffractogram of Tl2Si2PbAu7. It was derived from a cell relaxed with GGA-PBE, using a wavelength of 1.5418 Å.
Neutral-atom scattering factors, no anomalous dispersion.

Cell and atoms:
```
Tl2Si2PbAu7
1.0
3.5592 -3.3818 0.0000
3.5592 3.3818 0.0000
-2.1267 0.0000 11.6070
Tl Si Pb Au
2 2 1 7
Direct
0.1240 0.1240 0.3806
0.8760 0.8760 0.6194
0.3313 0.3313 0.7866
0.6687 0.6687 0.2134
0.0000 0.0000 0.0000
0.1316 0.5557 0.1744
0.4380 0.4380 0.6020
0.4443 0.8684 0.8256
0.5000 0.5000 0.0000
0.5557 0.1316 0.1744
0.5620 0.5620 0.3980
0.8684 0.4443 0.8256
```

Largest 10 diffraction maxima, in order of rising 2θ, 2θ = 5–70°:
2theta	I/Imax
30.60	50
31.21	63
32.15	100
35.25	89
36.79	69
36.96	32
38.78	69
57.00	22
58.28	24
64.48	26

***

The following is a theoretical powder diffractogram of Sm3Pb4Au3. It was derived from a cell relaxed with GGA-PBE, using a wavelength of 1.5418 Å.
Neutral-atom scattering factors, no anomalous dispersion.

Cell and atoms:
```
Sm3Pb4Au3
1.0
-5.1134 5.1134 5.1134
5.1134 -5.1134 5.1134
5.1134 5.1134 -5.1134
Sm Pb Au
6 8 6
Direct
0.1250 0.7500 0.8750
0.2500 0.6250 0.3750
0.3750 0.2500 0.6250
0.6250 0.3750 0.2500
0.7500 0.8750 0.1250
0.8750 0.1250 0.7500
0.0000 0.3123 0.5000
0.0000 0.8123 0.5000
0.1877 0.1877 0.1877
0.3123 0.5000 0.0000
0.5000 0.0000 0.3123
0.5000 0.0000 0.8123
0.6877 0.6877 0.6877
0.8123 0.5000 0.0000
0.1250 0.8750 0.2500
0.2500 0.1250 0.8750
0.3750 0.6250 0.7500
0.6250 0.7500 0.3750
0.7500 0.3750 0.6250
0.8750 0.2500 0.1250
```

Largest 10 diffraction maxima, in order of rising 2θ, 2θ = 5–70°:
2theta	I/Imax
21.28	12
32.77	100
39.40	29
43.34	14
45.21	15
48.77	16
56.95	8
61.50	12
62.97	10
68.68	8

***

The following is a theoretical powder diffractogram of Sm4PbAu. It was derived from a cell relaxed with GGA-PBE, using a wavelength of 1.5418 Å.
Neutral-atom scattering factors, no anomalous dispersion.

Cell and atoms:
```
Sm4PbAu
1.0
5.1280 0.0000 0.0000
0.0000 5.1280 0.0000
0.0000 0.0000 7.5159
Sm Pb Au
4 1 1
Direct
0.0000 0.5000 0.2315
0.0000 0.5000 0.7685
0.5000 0.0000 0.2315
0.5000 0.0000 0.7685
0.0000 0.0000 0.5000
0.5000 0.5000 0.0000
```

Largest 10 diffraction maxima, in order of rising 2θ, 2θ = 5–70°:
2theta	I/Imax
20.97	56
34.37	100
35.00	49
40.06	11
41.15	21
48.45	9
50.33	18
54.22	9
61.15	17
62.37	36

***

The following is a theoretical powder diffractogram of Sm4PbAu7. It was derived from a cell relaxed with GGA-PBE, using a wavelength of 1.5418 Å.
Neutral-atom scattering factors, no anomalous dispersion.

Cell and atoms:
```
Sm4PbAu7
1.0
7.2282 -2.6570 0.0000
7.2282 2.6570 0.0000
-4.7524 0.0000 7.7686
Sm Pb Au
4 1 7
Direct
0.0529 0.0529 0.2282
0.2390 0.2390 0.7526
0.7610 0.7610 0.2474
0.9471 0.9471 0.7718
0.5000 0.5000 0.5000
0.0000 0.0000 0.5000
0.1906 0.1906 0.0586
0.2914 0.2914 0.4772
0.4234 0.4234 0.1180
0.5766 0.5766 0.8820
0.7086 0.7086 0.5228
0.8094 0.8094 0.9414
```

Largest 10 diffraction maxima, in order of rising 2θ, 2θ = 5–70°:
2theta	I/Imax
28.96	23
31.45	48
33.73	100
34.00	71
34.22	34
35.74	44
36.14	44
37.32	24
45.05	25
46.78	40

***

The following is a theoretical powder diffractogram of SnPb3Au6. It was derived from a cell relaxed with GGA-PBE, using a wavelength of 1.5418 Å.
Neutral-atom scattering factors, no anomalous dispersion.

Cell and atoms:
```
SnPb3Au6
1.0
6.9302 4.0011 1.6020
-6.9302 4.0011 1.6020
0.0000 -8.0023 1.6020
Sn Pb Au
1 3 6
Direct
0.0000 0.0000 0.0000
0.3250 0.3250 0.9194
0.3250 0.9194 0.3250
0.9194 0.3250 0.3250
0.2800 0.8880 0.8880
0.4479 0.4479 0.6627
0.4479 0.6627 0.4479
0.6627 0.4479 0.4479
0.8880 0.2800 0.8880
0.8880 0.8880 0.2800
```

Largest 10 diffraction maxima, in order of rising 2θ, 2θ = 5–70°:
2theta	I/Imax
22.22	44
25.71	32
27.03	28
32.72	24
34.23	22
37.65	100
38.20	25
40.43	29
42.07	32
68.67	28

***

The following is a theoretical powder diffractogram of Sn5PbAu4. It was derived from a cell relaxed with GGA-PBE, using a wavelength of 1.5418 Å.
Neutral-atom scattering factors, no anomalous dispersion.

Cell and atoms:
```
Sn5PbAu4
1.0
7.9003 -2.2918 0.0000
7.9003 2.2918 0.0000
-0.8646 0.0000 7.2031
Sn Pb Au
5 1 4
Direct
0.0000 0.0000 0.0000
0.3242 0.3242 0.4922
0.3320 0.3320 0.0328
0.6680 0.6680 0.9672
0.6758 0.6758 0.5078
0.0000 0.0000 0.5000
0.1875 0.1875 0.7416
0.4547 0.4547 0.7761
0.5453 0.5453 0.2239
0.8125 0.8125 0.2584
```

Largest 10 diffraction maxima, in order of rising 2θ, 2θ = 5–70°:
2theta	I/Imax
23.34	48
24.52	32
27.15	41
34.30	29
34.58	95
37.51	100
39.31	49
50.69	19
56.46	18
65.97	18

***

The following is a theoretical powder diffractogram of SnPbAu. It was derived from a cell relaxed with GGA-PBE, using a wavelength of 1.5418 Å.
Neutral-atom scattering factors, no anomalous dispersion.

Cell and atoms:
```
SnPbAu
1.0
6.9165 0.0000 0.0000
0.0000 6.9165 0.0000
0.0000 0.0000 6.9165
Sn Pb Au
4 4 4
Direct
0.0000 0.0000 0.0000
0.0000 0.5000 0.5000
0.5000 0.0000 0.5000
0.5000 0.5000 0.0000
0.0000 0.0000 0.5000
0.0000 0.5000 0.0000
0.5000 0.0000 0.0000
0.5000 0.5000 0.5000
0.2500 0.2500 0.7500
0.2500 0.7500 0.2500
0.7500 0.2500 0.2500
0.7500 0.7500 0.7500
```

Largest 9 diffraction maxima, in order of rising 2θ, 2θ = 5–70°:
2theta	I/Imax
22.26	39
25.76	7
36.75	100
43.39	21
45.43	2
52.95	18
58.14	9
59.80	3
66.19	37

***

The following is a theoretical powder diffractogram of Sn12PbAu4. It was derived from a cell relaxed with GGA-PBE, using a wavelength of 1.5418 Å.
Neutral-atom scattering factors, no anomalous dispersion.

Cell and atoms:
```
Sn12PbAu4
1.0
-4.8735 4.8735 4.8735
4.8735 -4.8735 4.8735
4.8735 4.8735 -4.8735
Sn Pb Au
12 1 4
Direct
0.1529 0.3450 0.4978
0.1529 0.6550 0.8079
0.1921 0.8471 0.3450
0.3450 0.1921 0.8471
0.3450 0.4978 0.1529
0.4978 0.1529 0.3450
0.5022 0.8471 0.6550
0.6550 0.5022 0.8471
0.6550 0.8079 0.1529
0.8079 0.1529 0.6550
0.8471 0.3450 0.1921
0.8471 0.6550 0.5022
0.0000 0.0000 0.0000
0.0000 0.0000 0.5000
0.0000 0.5000 0.0000
0.5000 0.0000 0.0000
0.5000 0.5000 0.5000
```

Largest 10 diffraction maxima, in order of rising 2θ, 2θ = 5–70°:
2theta	I/Imax
18.20	19
25.85	43
28.97	100
34.43	49
41.43	49
45.59	66
47.57	39
60.03	21
64.88	18
66.46	14

***

The following is a theoretical powder diffractogram of Sn2PbAu3. It was derived from a cell relaxed with GGA-PBE, using a wavelength of 1.5418 Å.
Neutral-atom scattering factors, no anomalous dispersion.

Cell and atoms:
```
Sn2PbAu3
1.0
5.7340 0.0000 0.0000
0.0000 4.4139 0.0000
0.0000 0.0000 11.7520
Sn Pb Au
4 2 6
Direct
0.2500 0.0000 0.1043
0.2500 0.5000 0.7823
0.7500 0.0000 0.8957
0.7500 0.5000 0.2177
0.2500 0.5000 0.4413
0.7500 0.5000 0.5587
0.0000 0.5000 0.0000
0.0018 0.0000 0.6833
0.4982 0.0000 0.6833
0.5000 0.5000 0.0000
0.5018 0.0000 0.3167
0.9982 0.0000 0.3167
```

Largest 10 diffraction maxima, in order of rising 2θ, 2θ = 5–70°:
2theta	I/Imax
22.70	32
25.24	82
27.58	47
29.73	46
38.21	100
38.93	75
40.54	45
40.89	58
43.63	60
57.73	48

***

The following is a theoretical powder diffractogram of SnPb2Au2. It was derived from a cell relaxed with GGA-PBE, using a wavelength of 1.5418 Å.
Neutral-atom scattering factors, no anomalous dispersion.

Cell and atoms:
```
SnPb2Au2
1.0
4.5294 0.0000 0.0000
-2.2647 3.9226 0.0000
0.0000 0.0000 7.5828
Sn Pb Au
1 2 2
Direct
0.0000 0.0000 0.0000
0.3333 0.6667 0.6541
0.6667 0.3333 0.3459
0.3333 0.6667 0.1649
0.6667 0.3333 0.8351
```

Largest 10 diffraction maxima, in order of rising 2θ, 2θ = 5–70°:
2theta	I/Imax
22.67	20
25.57	7
32.85	100
39.80	53
46.72	4
52.53	27
53.70	22
64.04	6
67.88	26
68.89	11